The following is a calculated X-ray diffraction stick pattern of Ca2InPd5Au2. It was derived from a DFT-relaxed cell (PBE, Alexandria), using copper Kα.

Structure:
```
data_Ca2InPd5Au2
_chemical_formula_sum 'Ca4 In2 Pd10 Au4'
_cell_length_a 9.737
_cell_length_b 9.737
_cell_length_c 4.113
_cell_angle_alpha 90.00
_cell_angle_beta 90.00
_cell_angle_gamma 90.00
_symmetry_space_group_name_H-M 'P 1'
_symmetry_Int_Tables_number 1
_symmetry_space_group_name_Hall 'P 1'
loop_
_atom_site_label
_atom_site_type_symbol
_atom_site_fract_x
_atom_site_fract_y
_atom_site_fract_z
Ca1 Ca 0.170 0.330 0.000
Ca2 Ca 0.330 0.830 0.000
Ca3 Ca 0.670 0.170 0.000
Ca4 Ca 0.830 0.670 0.000
In1 In 0.000 0.000 0.000
In2 In 0.500 0.500 0.000
Pd1 Pd 0.000 0.500 0.500
Pd2 Pd 0.064 0.803 0.500
Pd3 Pd 0.197 0.064 0.500
Pd4 Pd 0.303 0.564 0.500
Pd5 Pd 0.436 0.303 0.500
Pd6 Pd 0.500 0.000 0.500
Pd7 Pd 0.564 0.697 0.500
Pd8 Pd 0.697 0.436 0.500
Pd9 Pd 0.803 0.936 0.500
Pd10 Pd 0.936 0.197 0.500
Au1 Au 0.128 0.628 0.000
Au2 Au 0.372 0.128 0.000
Au3 Au 0.628 0.872 0.000
Au4 Au 0.872 0.372 0.000
```

Principal peaks in the range 10 to 90 degrees two-theta, most intense first:
2θ = 36.4°, d 2.465, intensity 1000; 2θ = 20.4°, d 4.355, intensity 558; 2θ = 39.9°, d 2.258, intensity 465; 2θ = 44.0°, d 2.057, intensity 251; 2θ = 43.2°, d 2.095, intensity 180; 2θ = 38.1°, d 2.362, intensity 127

The following is a calculated X-ray diffraction stick pattern of CaTbIn2Au4. It was derived from a DFT-relaxed cell (PBE, Alexandria), using copper Kα.

Structure:
```
data_CaTbIn2Au4
_chemical_formula_sum 'Ca1 Tb1 In2 Au4'
_cell_length_a 8.568
_cell_length_b 8.568
_cell_length_c 8.568
_cell_angle_alpha 33.81
_cell_angle_beta 33.81
_cell_angle_gamma 33.81
_symmetry_space_group_name_H-M 'P 1'
_symmetry_Int_Tables_number 1
_symmetry_space_group_name_Hall 'P 1'
loop_
_atom_site_label
_atom_site_type_symbol
_atom_site_fract_x
_atom_site_fract_y
_atom_site_fract_z
Ca1 Ca 0.000 0.000 0.000
Tb1 Tb 0.500 0.500 0.500
In1 In 0.251 0.251 0.251
In2 In 0.749 0.749 0.749
Au1 Au 0.128 0.128 0.128
Au2 Au 0.376 0.376 0.376
Au3 Au 0.624 0.624 0.624
Au4 Au 0.872 0.872 0.872
```

Principal peaks in the range 10 to 90 degrees two-theta, most intense first:
2θ = 36.1°, d 2.491, intensity 1000; 2θ = 36.3°, d 2.478, intensity 975; 2θ = 65.0°, d 1.436, intensity 356; 2θ = 52.1°, d 1.757, intensity 347; 2θ = 25.3°, d 3.514, intensity 201; 2θ = 64.8°, d 1.438, intensity 181

The following is a calculated X-ray diffraction stick pattern of CaPuIrAu. It was derived from a DFT-relaxed cell (PBE, Alexandria), using copper Kα.

Structure:
```
data_CaPuIrAu
_chemical_formula_sum 'Ca4 Pu4 Ir4 Au4'
_cell_length_a 7.048
_cell_length_b 7.048
_cell_length_c 7.048
_cell_angle_alpha 90.00
_cell_angle_beta 90.00
_cell_angle_gamma 90.00
_symmetry_space_group_name_H-M 'P 1'
_symmetry_Int_Tables_number 1
_symmetry_space_group_name_Hall 'P 1'
loop_
_atom_site_label
_atom_site_type_symbol
_atom_site_fract_x
_atom_site_fract_y
_atom_site_fract_z
Ca1 Ca 0.000 0.000 0.000
Ca2 Ca 0.000 0.500 0.500
Ca3 Ca 0.500 0.000 0.500
Ca4 Ca 0.500 0.500 0.000
Pu1 Pu 0.000 0.000 0.500
Pu2 Pu 0.000 0.500 0.000
Pu3 Pu 0.500 0.000 0.000
Pu4 Pu 0.500 0.500 0.500
Ir1 Ir 0.250 0.250 0.250
Ir2 Ir 0.250 0.750 0.750
Ir3 Ir 0.750 0.250 0.750
Ir4 Ir 0.750 0.750 0.250
Au1 Au 0.250 0.250 0.750
Au2 Au 0.250 0.750 0.250
Au3 Au 0.750 0.250 0.250
Au4 Au 0.750 0.750 0.750
```

Principal peaks in the range 10 to 90 degrees two-theta, most intense first:
2θ = 36.0°, d 2.492, intensity 1000; 2θ = 64.8°, d 1.439, intensity 369; 2θ = 21.8°, d 4.069, intensity 189; 2θ = 51.9°, d 1.762, intensity 179; 2θ = 87.5°, d 1.114, intensity 170; 2θ = 76.4°, d 1.246, intensity 116

The following is a calculated X-ray diffraction stick pattern of KCa2Au9. It was derived from a DFT-relaxed cell (PBE, Alexandria), using copper Kα.

Structure:
```
data_KCa2Au9
_chemical_formula_sum 'K1 Ca2 Au9'
_cell_length_a 9.852
_cell_length_b 9.852
_cell_length_c 9.852
_cell_angle_alpha 33.75
_cell_angle_beta 33.75
_cell_angle_gamma 33.75
_symmetry_space_group_name_H-M 'P 1'
_symmetry_Int_Tables_number 1
_symmetry_space_group_name_Hall 'P 1'
loop_
_atom_site_label
_atom_site_type_symbol
_atom_site_fract_x
_atom_site_fract_y
_atom_site_fract_z
K1 K 0.000 0.000 0.000
Ca1 Ca 0.141 0.141 0.141
Ca2 Ca 0.859 0.859 0.859
Au1 Au 0.081 0.588 0.588
Au2 Au 0.333 0.333 0.333
Au3 Au 0.412 0.412 0.919
Au4 Au 0.412 0.919 0.412
Au5 Au 0.500 0.500 0.500
Au6 Au 0.588 0.081 0.588
Au7 Au 0.588 0.588 0.081
Au8 Au 0.667 0.667 0.667
Au9 Au 0.919 0.412 0.412
```

Principal peaks in the range 10 to 90 degrees two-theta, most intense first:
2θ = 36.9°, d 2.435, intensity 1000; 2θ = 18.2°, d 4.877, intensity 816; 2θ = 39.8°, d 2.263, intensity 638; 2θ = 43.0°, d 2.102, intensity 394; 2θ = 38.8°, d 2.320, intensity 346; 2θ = 78.6°, d 1.217, intensity 276